(1)
Computed powder XRD pattern
Compound: Ca2Nd2Pd3
Radiation: Cu Kα (weighted mean of Kα1 and Kα2)
Structure: a PBE-relaxed structure
Peak positions follow from Bragg's law for the DFT cell and can differ from measured ones.

Lattice parameters (Å, degrees): 4.0495 7.2014 7.3624 75.63 74.05 73.80
Space group P-1 (No. 2)
Symmetry-distinct sites (fractional):
1 Ca 0.0715 0.2393 0.1168 (multiplicity 2)
2 Nd 0.3232 0.2732 0.5806 (multiplicity 2)
3 Pd 0.0000 0.0000 0.5000 (multiplicity 1)
4 Pd 0.3803 0.5486 0.1906 (multiplicity 2)

The 12 most intense peaks (2θ from 5° to 70°), low angle first:
2θ/deg, I_rel, hkl
12.73, 58, 0 0 1
13.03, 22, 0 1 0
19.89, 38, 0 1 -1
29.49, 100, 1 2 1
30.98, 42, 0 1 -2
33.32, 43, -1 1 1
33.38, 38, 1 2 2
37.50, 17, 1 2 -1
38.82, 57, 1 1 3
41.51, 38, 1 -2 1
43.44, 30, 0 3 2
44.76, 27, 2 1 1

(2)
Computed powder XRD pattern
Compound: CaNdPd2
Radiation: Cu Kα (weighted mean of Kα1 and Kα2)
Structure: a PBE-relaxed structure
Peak positions follow from Bragg's law for the DFT cell and can differ from measured ones.

Lattice parameters (Å, degrees): 7.1495 7.1495 7.1495 90.00 90.00 90.00
Space group Fm-3m (No. 225)
Symmetry-distinct sites (fractional):
1 Ca 0.0000 0.0000 0.0000 (multiplicity 4)
2 Nd 0.0000 0.0000 0.5000 (multiplicity 4)
3 Pd 0.2500 0.2500 0.2500 (multiplicity 8)

The 8 most intense peaks (2θ from 5° to 70°), low angle first:
2θ/deg, I_rel, hkl
21.53, 15, 1 1 1
24.91, 1, 2 0 0
35.51, 100, 2 2 0
41.91, 8, 3 1 1
51.10, 17, 4 0 0
56.07, 4, 3 3 1
63.77, 35, 4 2 2
68.15, 3, 5 1 1

(3)
Computed powder XRD pattern
Compound: CaNd2Pd
Radiation: Cu Kα (weighted mean of Kα1 and Kα2)
Structure: a PBE-relaxed structure
Peak positions follow from Bragg's law for the DFT cell and can differ from measured ones.

Lattice parameters (Å, degrees): 4.0646 4.0646 29.2993 90.00 90.00 120.00
Space group R3m (No. 160, hexagonal axes)
Symmetry-distinct sites (fractional):
1 Ca 0.0000 0.0000 0.0000 (multiplicity 3)
2 Nd 0.0000 0.0000 0.2260 (multiplicity 3)
3 Nd 0.0000 0.0000 0.4431 (multiplicity 3)
4 Pd 0.0000 0.0000 0.8348 (multiplicity 3)

The 12 most intense peaks (2θ from 5° to 70°), low angle first:
2θ/deg, I_rel, hkl
9.05, 100, 0 0 3
26.03, 17, 0 1 2
27.40, 10, 0 0 9
28.13, 20, 1 0 4
29.60, 87, 0 1 5
35.37, 27, 0 1 8
40.04, 26, 1 0 10
44.59, 32, 1 1 0
45.59, 13, 1 1 3
47.93, 20, 1 0 13
53.13, 10, 1 1 9
54.43, 15, 2 0 5

(4)
Computed powder XRD pattern
Compound: CaNd3Pd4
Radiation: Cu Kα (weighted mean of Kα1 and Kα2)
Structure: a PBE-relaxed structure
Peak positions follow from Bragg's law for the DFT cell and can differ from measured ones.

Lattice parameters (Å, degrees): 7.1957 7.1957 7.1957 90.00 90.00 90.00
Space group Im-3m (No. 229)
Symmetry-distinct sites (fractional):
1 Ca 0.0000 0.0000 0.0000 (multiplicity 2)
2 Nd 0.0000 0.0000 0.5000 (multiplicity 6)
3 Pd 0.2500 0.2500 0.2500 (multiplicity 8)

The 10 most intense peaks (2θ from 5° to 70°), low angle first:
2θ/deg, I_rel, hkl
17.43, 7, 1 1 0
30.43, 4, 2 1 1
35.28, 100, 2 2 0
39.61, 2, 3 1 0
47.27, 2, 3 2 1
50.75, 18, 4 0 0
54.07, 1, 4 1 1
60.33, 1, 3 3 2
63.32, 36, 4 2 2
66.23, 1, 5 1 0

(5)
Computed powder XRD pattern
Compound: CaNdSi2Pd5
Radiation: Cu Kα (weighted mean of Kα1 and Kα2)
Structure: a PBE-relaxed structure
Peak positions follow from Bragg's law for the DFT cell and can differ from measured ones.

Lattice parameters (Å, degrees): 4.2345 4.2345 9.0419 90.00 90.00 90.00
Space group P4/mmm (No. 123)
Symmetry-distinct sites (fractional):
1 Ca 0.0000 0.0000 0.0000 (multiplicity 1)
2 Nd 0.0000 0.0000 0.5000 (multiplicity 1)
3 Si 0.5000 0.5000 0.1325 (multiplicity 2)
4 Pd 0.0000 0.5000 0.2637 (multiplicity 4)
5 Pd 0.5000 0.5000 0.5000 (multiplicity 1)

The 12 most intense peaks (2θ from 5° to 70°), low angle first:
2θ/deg, I_rel, hkl
9.78, 43, 0 0 1
19.64, 4, 0 0 2
31.47, 5, 1 1 1
35.98, 100, 1 1 2
39.88, 15, 0 0 4
42.56, 16, 1 1 3
42.71, 37, 2 0 0
43.92, 5, 2 0 1
59.85, 18, 2 0 4
61.99, 12, 2 2 0
68.20, 5, 2 0 5
69.88, 13, 1 1 6

(6)
Computed powder XRD pattern
Compound: CaNd2Zn2Pd5
Radiation: Cu Kα (weighted mean of Kα1 and Kα2)
Structure: a PBE-relaxed structure
Peak positions follow from Bragg's law for the DFT cell and can differ from measured ones.

Lattice parameters (Å, degrees): 10.0800 10.0800 3.9204 90.00 90.00 90.00
Space group P4/mbm (No. 127)
Symmetry-distinct sites (fractional):
1 Ca 0.0000 0.0000 0.0000 (multiplicity 2)
2 Nd 0.1790 0.3210 0.0000 (multiplicity 4)
3 Zn 0.1155 0.6155 0.0000 (multiplicity 4)
4 Pd 0.0000 0.5000 0.5000 (multiplicity 2)
5 Pd 0.0704 0.7809 0.5000 (multiplicity 8)

The 12 most intense peaks (2θ from 5° to 70°), low angle first:
2θ/deg, I_rel, hkl
12.42, 27, 1 1 0
30.21, 50, 2 1 1
34.00, 30, 2 2 1
36.32, 100, 3 1 1
36.76, 79, 4 1 0
37.87, 24, 3 3 0
39.59, 64, 3 2 1
40.00, 20, 4 2 0
42.65, 25, 4 0 1
46.32, 35, 0 0 2
60.54, 36, 4 1 2
63.70, 19, 5 4 1